Theoretical X-ray diffraction stick pattern of Li4NbFe3Cu2P6O24 for Cu Kα X-rays, from a structure optimized by DFT (PBE+U).
Peak positions follow from Bragg's law for the DFT cell and can differ from measured ones.

Structural model:
Cell: 8.7369 8.7708 8.7768 Å, 61.26 60.90 61.51°
Space group P1 (No. 1)
Unique sites:
Li  0.0000  0.0000  0.0000 (multiplicity 1)
Li  0.0911  0.8503  0.5216 (multiplicity 1)
Li  0.1859  0.3324  0.4788 (multiplicity 1)
Li  0.6687  0.5202  0.8102 (multiplicity 1)
Nb  0.2111  0.5395  0.0194 (multiplicity 1)
Fe  0.0086  0.3405  0.8233 (multiplicity 1)
Fe  0.5029  0.8389  0.3086 (multiplicity 1)
Fe  0.7112  0.0492  0.5193 (multiplicity 1)
Cu  0.3927  0.6883  0.1550 (multiplicity 1)
Cu  0.8217  0.2100  0.6674 (multiplicity 1)
P  0.1089  0.1296  0.2137 (multiplicity 1)
P  0.3088  0.9396  0.7019 (multiplicity 1)
P  0.4083  0.4403  0.6048 (multiplicity 1)
P  0.6059  0.2313  0.1263 (multiplicity 1)
P  0.8029  0.7357  0.9149 (multiplicity 1)
P  0.9023  0.6520  0.4184 (multiplicity 1)
O  0.0494  0.1534  0.0647 (multiplicity 1)
O  0.0966  0.5877  0.2658 (multiplicity 1)
O  0.1316  0.1108  0.7164 (multiplicity 1)
O  0.1772  0.2973  0.1471 (multiplicity 1)
O  0.2545  0.3846  0.6288 (multiplicity 1)
O  0.2566  0.7889  0.9036 (multiplicity 1)
O  0.2663  0.9437  0.2412 (multiplicity 1)
O  0.3243  0.8782  0.5557 (multiplicity 1)
O  0.3425  0.5038  0.7767 (multiplicity 1)
O  0.4235  0.6089  0.4276 (multiplicity 1)
O  0.4585  0.4343  0.0680 (multiplicity 1)
O  0.4832  0.9588  0.6751 (multiplicity 1)
O  0.5258  0.0859  0.1753 (multiplicity 1)
O  0.5905  0.2848  0.6087 (multiplicity 1)
O  0.6179  0.7732  0.0716 (multiplicity 1)
O  0.6431  0.2211  0.2814 (multiplicity 1)
O  0.7409  0.7165  0.3540 (multiplicity 1)
O  0.7738  0.2320  0.9419 (multiplicity 1)
O  0.8192  0.5788  0.8696 (multiplicity 1)
O  0.8321  0.9052  0.7459 (multiplicity 1)
O  0.8994  0.4706  0.5854 (multiplicity 1)
O  0.9136  0.8023  0.4501 (multiplicity 1)
O  0.9574  0.1278  0.4019 (multiplicity 1)
O  0.9687  0.6648  0.9877 (multiplicity 1)

Peak list (10 most intense, 15 to 90 degrees two-theta, in order of rising 2θ)
two_theta  Rel. int.  h k l
19.85  96.9  0 1 -1
20.01  47.9  1 0 -1
23.50  62.2  2 0 1
23.58  62.9  1 2 0
32.21  100.0  1 3 2
32.31  24.5  2 3 1
34.64  25.9  1 -2 1
34.93  51.4  1 1 -2
48.07  24.8  4 0 2
48.25  23.9  2 4 0



Theoretical X-ray diffraction stick pattern of Ca2SbWO6 for Cu Kα X-rays, from a structure optimized by DFT (PBE+U).
Peak positions follow from Bragg's law for the DFT cell and can differ from measured ones.

Structural model:
Cell: 5.6387 5.9117 9.9141 Å, 90.00 124.12 90.00°
Space group P2_1/c (No. 14)
Unique sites:
Ca  0.2386  0.0575  0.2513 (multiplicity 4)
Sb  0.5000  0.0000  0.0000 (multiplicity 2)
W  0.0000  0.0000  0.5000 (multiplicity 2)
O  0.1048  0.2093  0.9300 (multiplicity 4)
O  0.2325  0.6746  0.9460 (multiplicity 4)
O  0.3525  0.0571  0.7330 (multiplicity 4)

Peak list (10 most intense, 15 to 90 degrees two-theta, in order of rising 2θ)
two_theta  Rel. int.  h k l
21.66  47.8  0 0 2
21.78  100.0  1 1 -1
30.24  46.1  0 2 0
30.80  93.3  1 1 1
31.01  92.6  1 1 -3
31.74  39.6  2 0 -2
44.14  23.9  0 0 4
44.41  43.2  2 2 -2
54.43  22.0  0 2 4
56.22  23.0  3 1 -5



Theoretical X-ray diffraction stick pattern of ZnFe2O4 for Cu Kα X-rays, from a structure optimized by DFT (PBE+U).
Peak positions follow from Bragg's law for the DFT cell and can differ from measured ones.

Structural model:
Cell: 6.0028 6.0144 8.5813 Å, 90.00 90.00 90.00°
Space group Imma (No. 74)
Unique sites:
Zn  0.2500  0.2500  0.2500 (multiplicity 4)
Fe  0.0000  0.0000  0.0000 (multiplicity 4)
Fe  0.0000  0.2500  0.6306 (multiplicity 4)
O  0.0000  0.0058  0.2366 (multiplicity 8)
O  0.2349  0.2500  0.9982 (multiplicity 8)

Peak list (10 most intense, 15 to 90 degrees two-theta, in order of rising 2θ)
two_theta  Rel. int.  h k l
18.02  17.0  0 1 1
29.59  24.5  1 1 2
29.73  12.7  0 2 0
34.73  50.3  0 1 3
34.99  100.0  2 1 1
36.51  16.9  0 2 2
42.56  22.6  2 2 0
55.70  13.7  0 1 5
56.23  26.8  2 3 1
61.42  45.4  2 2 4



Theoretical X-ray diffraction stick pattern of Li5FeNi3O8 for Cu Kα X-rays, from a structure optimized by DFT (PBE+U).
Peak positions follow from Bragg's law for the DFT cell and can differ from measured ones.

Structural model:
Cell: 5.9915 10.2075 9.7432 Å, 90.00 91.17 90.00°
Space group Cc (No. 9)
Unique sites:
Li  0.0000  0.0034  0.0000 (multiplicity 4)
Li  0.0135  0.1920  0.4279 (multiplicity 4)
Li  0.2039  0.4009  0.4348 (multiplicity 4)
Li  0.3003  0.0955  0.9336 (multiplicity 4)
Li  0.4974  0.1619  0.7093 (multiplicity 4)
Fe  0.0072  0.3343  0.9519 (multiplicity 4)
Ni  0.0052  0.1655  0.6981 (multiplicity 4)
Ni  0.2509  0.4135  0.6990 (multiplicity 4)
Ni  0.2579  0.0869  0.1973 (multiplicity 4)
O  0.0023  0.0062  0.3038 (multiplicity 4)
O  0.0031  0.4900  0.8245 (multiplicity 4)
O  0.0075  0.3317  0.5862 (multiplicity 4)
O  0.0082  0.1733  0.0721 (multiplicity 4)
O  0.2450  0.2559  0.8246 (multiplicity 4)
O  0.2485  0.4244  0.0744 (multiplicity 4)
O  0.2544  0.0786  0.5711 (multiplicity 4)
O  0.2733  0.2460  0.3246 (multiplicity 4)

Peak list (10 most intense, 15 to 90 degrees two-theta, in order of rising 2θ)
two_theta  Rel. int.  h k l
18.21  83.9  0 0 2
19.30  48.5  1 1 -1
19.62  97.0  0 2 1
25.32  30.2  1 1 2
35.81  35.0  2 2 -1
36.13  36.0  2 2 1
39.83  35.9  2 2 2
44.43  55.1  2 2 -3
45.22  100.0  2 2 3
62.82  46.8  2 6 0



Theoretical X-ray diffraction stick pattern of Li9Mn2Co5O16 for Cu Kα X-rays, from a structure optimized by DFT (PBE+U).
Peak positions follow from Bragg's law for the DFT cell and can differ from measured ones.

Structural model:
Cell: 9.8002 2.8757 10.3550 Å, 90.00 98.53 90.00°
Space group P2/m (No. 10)
Unique sites:
Li  0.0000  0.0000  0.0000 (multiplicity 1)
Li  0.2295  0.5000  0.1084 (multiplicity 2)
Li  0.2341  0.0000  0.3719 (multiplicity 2)
Li  0.2349  0.5000  0.6250 (multiplicity 2)
Li  0.2441  0.0000  0.8772 (multiplicity 2)
Mn  0.5000  0.5000  0.0000 (multiplicity 1)
Mn  0.5000  0.5000  0.5000 (multiplicity 1)
Co  0.0000  0.0000  0.5000 (multiplicity 1)
Co  0.0058  0.5000  0.7673 (multiplicity 2)
Co  0.4967  0.0000  0.7467 (multiplicity 2)
O  0.1037  0.0000  0.6725 (multiplicity 2)
O  0.1086  0.5000  0.4455 (multiplicity 2)
O  0.1211  0.5000  0.9212 (multiplicity 2)
O  0.1218  0.0000  0.1962 (multiplicity 2)
O  0.3843  0.0000  0.5473 (multiplicity 2)
O  0.3843  0.5000  0.7981 (multiplicity 2)
O  0.3868  0.0000  0.0598 (multiplicity 2)
O  0.4001  0.5000  0.3218 (multiplicity 2)

Peak list (10 most intense, 15 to 90 degrees two-theta, in order of rising 2θ)
two_theta  Rel. int.  h k l
18.31  100.0  2 0 0
35.05  14.8  0 0 4
36.35  24.1  1 1 -2
37.70  7.6  1 1 2
42.30  27.3  2 0 4
44.08  51.0  3 1 -2
47.49  9.2  3 1 2
57.99  9.6  5 1 -2
62.67  13.7  5 1 2
62.81  13.8  1 1 -6



Theoretical X-ray diffraction stick pattern of LiMnNbO4 for Cu Kα X-rays, from a structure optimized by DFT (PBE+U).
Peak positions follow from Bragg's law for the DFT cell and can differ from measured ones.

Structural model:
Cell: 6.2802 6.2882 8.6371 Å, 90.00 90.00 90.00°
Space group P222_1 (No. 17)
Unique sites:
Li  0.0000  0.2226  0.2500 (multiplicity 2)
Li  0.2225  0.0000  0.5000 (multiplicity 2)
Mn  0.2560  0.2557  0.8742 (multiplicity 4)
Nb  0.2191  0.5000  0.5000 (multiplicity 2)
Nb  0.5000  0.2194  0.2500 (multiplicity 2)
O  0.0270  0.2656  0.5033 (multiplicity 4)
O  0.2654  0.0273  0.2468 (multiplicity 4)
O  0.2688  0.4821  0.2695 (multiplicity 4)
O  0.4823  0.2688  0.4805 (multiplicity 4)

Peak list (10 most intense, 15 to 90 degrees two-theta, in order of rising 2θ)
two_theta  Rel. int.  h k l
22.50  77.4  1 1 1
25.02  49.0  1 0 2
28.83  31.9  1 1 2
31.84  18.7  1 2 0
33.53  100.0  2 1 1
34.26  48.2  1 0 3
46.92  18.8  3 1 1
53.65  29.3  2 3 1
58.77  21.8  4 0 0
59.72  45.4  2 2 4



Theoretical X-ray diffraction stick pattern of MgMn8O13F3 for Cu Kα X-rays, from a structure optimized by DFT (PBE+U).
Peak positions follow from Bragg's law for the DFT cell and can differ from measured ones.

Structural model:
Cell: 5.6355 6.8308 7.0898 Å, 85.96 85.91 89.73°
Space group P1 (No. 1)
Unique sites:
Mg  0.0000  0.0000  0.0000 (multiplicity 1)
Mn  0.2094  0.9969  0.5300 (multiplicity 1)
Mn  0.2247  0.4959  0.0165 (multiplicity 1)
Mn  0.4016  0.5083  0.5091 (multiplicity 1)
Mn  0.4783  0.9720  0.0644 (multiplicity 1)
Mn  0.7126  0.2584  0.2750 (multiplicity 1)
Mn  0.7281  0.7372  0.7853 (multiplicity 1)
Mn  0.7849  0.2899  0.7629 (multiplicity 1)
Mn  0.9499  0.7419  0.2901 (multiplicity 1)
O  0.1781  0.7223  0.4820 (multiplicity 1)
O  0.2115  0.7829  0.0930 (multiplicity 1)
O  0.4637  0.4523  0.2384 (multiplicity 1)
O  0.4689  0.0475  0.3195 (multiplicity 1)
O  0.4757  0.5273  0.7965 (multiplicity 1)
O  0.4876  0.9364  0.7985 (multiplicity 1)
O  0.6564  0.3131  0.5276 (multiplicity 1)
O  0.7220  0.1825  0.0178 (multiplicity 1)
O  0.7343  0.7931  0.0789 (multiplicity 1)
O  0.9520  0.9691  0.7300 (multiplicity 1)
O  0.9578  0.5183  0.8264 (multiplicity 1)
O  0.9607  0.0270  0.3056 (multiplicity 1)
O  0.9741  0.4636  0.2299 (multiplicity 1)
F  0.1699  0.2704  0.5834 (multiplicity 1)
F  0.2484  0.1914  0.9908 (multiplicity 1)
F  0.6970  0.7130  0.4858 (multiplicity 1)

Peak list (10 most intense, 15 to 90 degrees two-theta, in order of rising 2θ)
two_theta  Rel. int.  h k l
23.98  51.4  1 -1 1
25.16  50.2  1 1 -1
28.91  60.8  1 0 2
30.69  100.0  1 2 0
30.87  57.9  1 0 -2
35.32  31.5  0 2 2
35.71  23.7  2 1 1
41.66  37.6  2 2 0
51.84  31.3  0 0 4
53.81  29.9  0 4 0